This entry pairs a crystal structure of VPO5 with its theoretical X-ray diffraction stick pattern. Radiation: λ = 1.5418 Å (Cu Kα). Structure: DFT lattice parameters and positions (PBE+U).
Lines closer than 0.1° are merged.

Structural model:
Cell lengths 12.5674, 6.2252, 10.6197 Å; angles 90.00, 90.00, 90.00 degrees
Fractional coordinates of all 56 atoms:
V: 0.1160 0.0029 0.0000
V: 0.2490 0.2759 0.7551
V: 0.2510 0.7759 0.2551
V: 0.3840 0.5029 0.5000
V: 0.6160 0.4971 0.0000
V: 0.7490 0.2241 0.7551
V: 0.7510 0.7241 0.2551
V: 0.8840 0.9971 0.5000
P: 0.0036 0.8382 0.2619
P: 0.1874 0.4984 0.0202
P: 0.3126 0.9984 0.5202
P: 0.4964 0.3382 0.7619
P: 0.5036 0.6618 0.2619
P: 0.6874 0.0016 0.0202
P: 0.8126 0.5016 0.5202
P: 0.9964 0.1618 0.7619
O: 0.0060 0.0254 0.8868
O: 0.0130 0.9834 0.1478
O: 0.0965 0.3067 0.7523
O: 0.1044 0.6970 0.2815
O: 0.1147 0.6953 0.9974
O: 0.1158 0.3019 0.0475
O: 0.2146 0.0382 0.8972
O: 0.2226 0.9625 0.1483
O: 0.2398 0.0444 0.6356
O: 0.2435 0.9569 0.4020
O: 0.2565 0.4569 0.9020
O: 0.2602 0.5444 0.1356
O: 0.2774 0.4625 0.6483
O: 0.2854 0.5382 0.3972
O: 0.3842 0.8019 0.5475
O: 0.3853 0.1953 0.4974
O: 0.3956 0.1970 0.7815
O: 0.4035 0.8067 0.2523
O: 0.4870 0.4834 0.6478
O: 0.4940 0.5254 0.3868
O: 0.5060 0.4746 0.8868
O: 0.5130 0.5166 0.1478
O: 0.5965 0.1933 0.7523
O: 0.6044 0.8030 0.2815
O: 0.6147 0.8047 0.9974
O: 0.6158 0.1981 0.0475
O: 0.7146 0.4618 0.8972
O: 0.7226 0.5375 0.1483
O: 0.7398 0.4556 0.6356
O: 0.7435 0.5431 0.4020
O: 0.7565 0.0431 0.9020
O: 0.7602 0.9556 0.1356
O: 0.7774 0.0375 0.6483
O: 0.7854 0.9618 0.3972
O: 0.8842 0.6981 0.5475
O: 0.8853 0.3047 0.4974
O: 0.8956 0.3030 0.7815
O: 0.9035 0.6933 0.2523
O: 0.9870 0.0166 0.6478
O: 0.9940 0.9746 0.3868

The 8 most intense peaks (10 to 90 degrees two-theta), in order of rising 2θ:
2θ 14.09, rel. 14, hkl 2 0 0; 2θ 15.89, rel. 34, hkl 1 1 0; 2θ 16.39, rel. 90, hkl 2 0 1; 2θ 16.51, rel. 100, hkl 0 1 1; 2θ 26.99, rel. 12, hkl 3 1 1; 2θ 28.99, rel. 34, hkl 0 1 3; 2θ 33.10, rel. 30, hkl 4 0 2; 2θ 33.37, rel. 23, hkl 0 2 2